No. 1
Theoretical X-ray powder pattern
Compound: CaDy7Y2
Radiation: Cu Kα
Structure: a crystal structure in Alexandria, relaxed with PBE
No peak broadening, texture or thermal motion is included.

Atomic structure:
Unit cell a=6.1792 b=6.1845 c=9.4673 alpha=109.05 beta=102.27 gamma=99.74
Space group P-1 (No. 2)
One atom of each set of equivalent atoms:
Ca: 0.0000 0.0000 0.0000 x1
Dy: 0.0983 0.2041 0.6962 x2
Dy: 0.2040 0.4059 0.4056 x2
Dy: 0.3122 0.6039 0.1036 x2
Dy: 0.5000 0.0000 0.5000 x1
Y: 0.3947 0.7943 0.7940 x2

The 8 most intense peaks (2θ = 5–70°), by angle:
- (2 -1 0), d = 2.919 Å, I 100
- (0 2 -2), d = 2.915 Å, I 34
- (1 -1 3), d = 2.537 Å, I 23
- (-1 2 1), d = 2.526 Å, I 23
- (2 1 -2), d = 2.519 Å, I 22
- (2 -3 2), d = 1.788 Å, I 16
- (1 3 -1), d = 1.785 Å, I 16
- (3 1 -5), d = 1.520 Å, I 14

---

No. 2
Theoretical X-ray powder pattern
Compound: La7Pm5
Radiation: Cu Kα
Structure: a crystal structure in Alexandria, relaxed with PBE
No peak broadening, texture or thermal motion is included.

Atomic structure:
Unit cell a=19.3959 b=3.7192 c=13.6088 alpha=90.00 beta=118.38 gamma=90.00
Space group C2/m (No. 12)
One atom of each set of equivalent atoms:
La: 0.0000 0.0000 0.0000 x2
La: 0.0263 0.5000 0.2500 x4
La: 0.1406 0.0000 0.7514 x4
La: 0.1671 0.0000 0.5018 x4
Pm: 0.0000 0.5000 0.5000 x2
Pm: 0.1679 0.5000 0.0035 x4
Pm: 0.1924 0.0000 0.2494 x4

The 8 most intense peaks (2θ = 5–70°), by angle:
- (3 1 -2), d = 3.115 Å, I 42
- (0 0 4), d = 2.993 Å, I 34
- (6 0 0), d = 2.841 Å, I 100
- (3 1 -4), d = 2.510 Å, I 15
- (9 1 -3), d = 1.865 Å, I 17
- (6 0 4), d = 1.697 Å, I 22
- (9 1 -7), d = 1.583 Å, I 20
- (6 2 0), d = 1.556 Å, I 12

---

No. 3
Theoretical X-ray powder pattern
Compound: Sm2SnBr8
Radiation: Cu Kα
Structure: a crystal structure in Alexandria, relaxed with PBE
No peak broadening, texture or thermal motion is included.

Atomic structure:
Unit cell a=7.8976 b=8.0113 c=8.4832 alpha=89.92 beta=89.05 gamma=61.83
Space group P-1 (No. 2)
One atom of each set of equivalent atoms:
Sm: 0.2499 0.0264 0.3820 x2
Sn: 0.0000 0.0000 0.0000 x1
Br: 0.0064 0.8320 0.3383 x2
Br: 0.0319 0.6820 0.7988 x2
Br: 0.4091 0.8233 0.1024 x2
Br: 0.4456 0.2450 0.4231 x2

The 8 most intense peaks (2θ = 5–70°), by angle:
- (0 1 0), d = 7.062 Å, I 100
- (1 0 -1), d = 5.335 Å, I 29
- (1 1 -1), d = 5.289 Å, I 37
- (1 0 -2), d = 3.594 Å, I 21
- (2 2 0), d = 3.411 Å, I 32
- (1 -1 2), d = 2.965 Å, I 37
- (-1 1 2), d = 2.918 Å, I 26
- (1 0 -3), d = 2.602 Å, I 24

---

No. 4
Theoretical X-ray powder pattern
Compound: Zr2Be12Co5
Radiation: Cu Kα
Structure: a crystal structure in Alexandria, relaxed with PBE
No peak broadening, texture or thermal motion is included.

Atomic structure:
Unit cell a=7.7526 b=7.7526 c=11.1907 alpha=90.00 beta=90.00 gamma=120.00
Space group R-3m (No. 166, hexagonal axes)
One atom of each set of equivalent atoms:
Zr: 0.0000 0.0000 0.1623 x6
Be: 0.0000 0.2862 0.5000 x18
Be: 0.0018 0.5009 0.3442 x18
Co: 0.0000 0.0000 0.4008 x6
Co: 0.0000 0.5000 0.0000 x9

The 8 most intense peaks (2θ = 5–70°), by angle:
- (1 1 0), d = 3.876 Å, I 100
- (0 2 1), d = 3.215 Å, I 39
- (1 1 3), d = 2.688 Å, I 69
- (1 0 4), d = 2.582 Å, I 48
- (2 2 0), d = 1.938 Å, I 81
- (3 0 3), d = 1.919 Å, I 36
- (2 1 4), d = 1.880 Å, I 39
- (2 0 5), d = 1.863 Å, I 49

---

No. 5
Theoretical X-ray powder pattern
Compound: Y2HfU2Ru5
Radiation: Cu Kα
Structure: a crystal structure in Alexandria, relaxed with PBE
No peak broadening, texture or thermal motion is included.

Atomic structure:
Unit cell a=10.5034 b=10.5034 c=3.5187 alpha=90.00 beta=90.00 gamma=90.00
Space group P4/mbm (No. 127)
One atom of each set of equivalent atoms:
Y: 0.1742 0.3258 0.0000 x4
Hf: 0.0000 0.0000 0.0000 x2
U: 0.1379 0.6379 0.0000 x4
Ru: 0.0000 0.5000 0.5000 x2
Ru: 0.0511 0.7968 0.5000 x8

The 8 most intense peaks (2θ = 5–70°), by angle:
- (2 1 0), d = 4.697 Å, I 42
- (3 1 0), d = 3.321 Å, I 18
- (2 2 1), d = 2.552 Å, I 29
- (3 3 0), d = 2.476 Å, I 19
- (3 1 1), d = 2.415 Å, I 100
- (3 2 1), d = 2.244 Å, I 27
- (4 0 1), d = 2.104 Å, I 20
- (0 0 2), d = 1.759 Å, I 16

---

No. 6
Theoretical X-ray powder pattern
Compound: TmMgPt6
Radiation: Cu Kα
Structure: a crystal structure in Alexandria, relaxed with PBE
No peak broadening, texture or thermal motion is included.

Atomic structure:
Unit cell a=4.0373 b=4.0373 c=8.0155 alpha=90.00 beta=90.00 gamma=90.00
Space group P4/mmm (No. 123)
One atom of each set of equivalent atoms:
Tm: 0.0000 0.0000 0.0000 x1
Mg: 0.0000 0.0000 0.5000 x1
Pt: 0.0000 0.5000 0.2595 x4
Pt: 0.5000 0.5000 0.0000 x1
Pt: 0.5000 0.5000 0.5000 x1

The 8 most intense peaks (2θ = 5–70°), by angle:
- (1 0 0), d = 4.037 Å, I 4
- (1 0 1), d = 3.606 Å, I 4
- (1 0 2), d = 2.844 Å, I 3
- (1 1 2), d = 2.325 Å, I 100
- (2 0 0), d = 2.019 Å, I 33
- (0 0 4), d = 2.004 Å, I 16
- (2 2 0), d = 1.427 Å, I 11
- (2 0 4), d = 1.422 Å, I 21

---

No. 7
Theoretical X-ray powder pattern
Compound: LiPb3
Radiation: Cu Kα
Structure: a crystal structure in Alexandria, relaxed with PBE
No peak broadening, texture or thermal motion is included.

Atomic structure:
Unit cell a=3.5243 b=4.4895 c=7.1076 alpha=90.00 beta=93.15 gamma=90.00
Space group P2/m (No. 10)
One atom of each set of equivalent atoms:
Li: 0.0000 0.0000 0.0000 x1
Pb: 0.0000 0.0000 0.5000 x1
Pb: 0.4851 0.5000 0.2294 x2

The 8 most intense peaks (2θ = 5–70°), by angle:
- (0 0 1), d = 7.097 Å, I 25
- (0 1 1), d = 3.794 Å, I 37
- (0 1 2), d = 2.784 Å, I 98
- (1 1 0), d = 2.770 Å, I 100
- (1 0 -2), d = 2.570 Å, I 40
- (1 0 2), d = 2.433 Å, I 33
- (0 2 0), d = 2.245 Å, I 28
- (2 0 0), d = 1.760 Å, I 24

---

No. 8
Theoretical X-ray powder pattern
Compound: Sc8GaOs2
Radiation: Cu Kα
Structure: a crystal structure in Alexandria, relaxed with PBE
No peak broadening, texture or thermal motion is included.

Atomic structure:
Unit cell a=4.7799 b=14.6637 c=6.5185 alpha=90.00 beta=90.00 gamma=90.00
Space group Imm2 (No. 44)
One atom of each set of equivalent atoms:
Sc: 0.0000 0.0000 0.0000 x2
Sc: 0.0000 0.1125 0.4283 x4
Sc: 0.0000 0.2921 0.1170 x4
Sc: 0.0000 0.3333 0.5747 x4
Sc: 0.0000 0.5000 0.2124 x2
Ga: 0.0000 0.5000 0.7912 x2
Os: 0.0000 0.1683 0.8127 x4

The 8 most intense peaks (2θ = 5–70°), by angle:
- (0 3 1), d = 3.911 Å, I 65
- (1 0 1), d = 3.855 Å, I 50
- (1 3 0), d = 3.416 Å, I 49
- (0 6 0), d = 2.444 Å, I 24
- (2 0 0), d = 2.390 Å, I 42
- (1 3 2), d = 2.359 Å, I 100
- (1 6 1), d = 2.064 Å, I 36
- (0 3 3), d = 1.985 Å, I 24